For Rb2Ce2Fe4O9, DFT lattice parameters and positions (PBE+U) gives the computed powder diffractogram in this record (λ = 1.5418 Å (Cu Kα)).
Peak positions follow from Bragg's law for the DFT cell and can differ from measured ones.

Cell and atoms:
```
data_Rb2Ce2Fe4O9
_symmetry_space_group_name_H-M 'C m m m'
_symmetry_Int_Tables_number 65
_symmetry_space_group_name_Hall '-C 2 2'
_cell_length_a 8.1071
_cell_length_b 15.9163
_cell_length_c 3.9359
_cell_angle_alpha 90.00
_cell_angle_beta 90.00
_cell_angle_gamma 90.00
loop_
_atom_site_label
_atom_site_fract_x
_atom_site_fract_y
_atom_site_fract_z
Rb1 0.2481 0.0000 0.0000
Ce1 0.2500 0.2500 0.0000
Fe1 0.0000 0.1420 0.5000
Fe2 0.0000 0.3778 0.5000
O1 0.0000 0.1456 0.0000
O2 0.0000 0.3223 0.0000
O3 0.0000 0.5000 0.5000
O4 0.2438 0.1645 0.5000
```

Main lines, low angle first (5° ≤ 2θ ≤ 70°):
11.12 deg, 7.958 Å, I 40, (0 2 0); 31.51 deg, 2.840 Å, I 100, (2 4 0); 31.69 deg, 2.824 Å, I 73, (2 0 1); 31.98 deg, 2.798 Å, I 96, (0 4 1); 56.02 deg, 1.641 Å, I 37, (4 4 1); 56.59 deg, 1.626 Å, I 40, (2 8 1)